Starting from DFT lattice parameters and positions (GGA-PBE), the powder diffraction line list of Y6N2O5 was calculated for a wavelength of 1.5418 Å.
Kinematic intensities with the Lorentz-polarization factor, no thermal factor.

Cell and atoms:
```
Y6N2O5
1.0
5.434 -2.393 0.000
5.434 2.393 0.000
-1.113 0.000 7.533
Y N O
6 2 5
Direct
0.066 0.066 0.217
0.209 0.209 0.639
0.354 0.354 0.077
0.646 0.646 0.923
0.791 0.791 0.361
0.934 0.934 0.783
0.142 0.142 0.925
0.858 0.858 0.075
0.000 0.000 0.500
0.271 0.271 0.354
0.421 0.421 0.798
0.579 0.579 0.202
0.729 0.729 0.646
```

Peak list (12 most intense, 2θ from 10° to 80°, sorted by position)
- 2θ 11.7, rel. 17
- 2θ 20.3, rel. 15
- 2θ 32.1, rel. 84
- 2θ 32.3, rel. 83
- 2θ 37.1, rel. 65
- 2θ 37.2, rel. 63
- 2θ 37.6, rel. 62
- 2θ 53.3, rel. 20
- 2θ 53.9, rel. 100
- 2θ 63.8, rel. 13
- 2θ 67.1, rel. 19
- 2θ 67.6, rel. 19